1.
This entry pairs a crystal structure of Pm2PuSn9 with its simulated powder XRD pattern. Radiation: Cu Kα. Structure: a crystal structure in Alexandria, relaxed with GGA-PBE.

Structure:
```
data_Pm2PuSn9
_chemical_formula_sum 'Pm2 Pu1 Sn9'
_space_group_name_H-M_alt 'P 4/m m m'
_space_group_IT_number 123
_space_group_name_Hall '-P 4 2'
_cell_length_a 4.6962
_cell_length_b 4.6962
_cell_length_c 14.3624
_cell_angle_alpha 90.00
_cell_angle_beta 90.00
_cell_angle_gamma 90.00
loop_
_atom_site_label
_atom_site_fract_x
_atom_site_fract_y
_atom_site_fract_z
_atom_site_occupancy
Pm1 0.0000 0.0000 0.1727 1
Pu1 0.0000 0.0000 0.5000 1
Sn1 0.0000 0.5000 0.0000 1
Sn2 0.0000 0.5000 0.3386 1
Sn3 0.5000 0.5000 0.1693 1
Sn4 0.5000 0.5000 0.5000 1
```

Main lines, low angle first (2θ = 15–90°):
(1 0 0), 2θ 18.9, d 4.696, I = 2
(1 1 3), 2θ 32.8, d 2.729, I = 100
(0 0 6), 2θ 37.6, d 2.394, I = 17
(2 0 0), 2θ 38.3, d 2.348, I = 33
(2 0 6), 2θ 54.8, d 1.676, I = 24
(2 2 0), 2θ 55.3, d 1.660, I = 12
(1 1 9), 2θ 64.8, d 1.438, I = 14
(3 1 3), 2θ 65.8, d 1.418, I = 28
(2 2 6), 2θ 68.8, d 1.364, I = 12
(4 0 0), 2θ 82.1, d 1.174, I = 4

2.
This entry pairs a crystal structure of PmPu2Sn3 with its simulated powder XRD pattern. Radiation: Cu Kα. Structure: a crystal structure in Alexandria, relaxed with GGA-PBE.

Structure:
```
data_PmPu2Sn3
_chemical_formula_sum 'Pm1 Pu2 Sn3'
_space_group_name_H-M_alt 'P 4/m m m'
_space_group_IT_number 123
_space_group_name_Hall '-P 4 2'
_cell_length_a 3.4213
_cell_length_b 3.4213
_cell_length_c 13.6767
_cell_angle_alpha 90.00
_cell_angle_beta 90.00
_cell_angle_gamma 90.00
loop_
_atom_site_label
_atom_site_fract_x
_atom_site_fract_y
_atom_site_fract_z
_atom_site_occupancy
Pm1 0.0000 0.0000 0.0000 1
Pu1 0.0000 0.0000 0.3342 1
Sn1 0.5000 0.5000 0.1692 1
Sn2 0.5000 0.5000 0.5000 1
```

Main lines, low angle first (2θ = 15–90°):
(1 0 0), 2θ 26.0, d 3.421, I = 6
(1 0 3), 2θ 32.7, d 2.736, I = 100
(1 1 0), 2θ 37.2, d 2.419, I = 37
(0 0 6), 2θ 39.5, d 2.279, I = 16
(2 0 0), 2θ 53.6, d 1.711, I = 13
(1 1 6), 2θ 55.4, d 1.659, I = 23
(2 1 3), 2θ 64.2, d 1.451, I = 30
(1 0 9), 2θ 67.4, d 1.389, I = 13
(2 0 6), 2θ 68.6, d 1.368, I = 12
(3 0 3), 2θ 88.3, d 1.106, I = 7

3.
This entry pairs a crystal structure of Pm6PuSn6 with its simulated powder XRD pattern. Radiation: Cu Kα. Structure: a crystal structure in Alexandria, relaxed with GGA-PBE.

Structure:
```
data_Pm6PuSn6
_chemical_formula_sum 'Pm6 Pu1 Sn6'
_space_group_name_H-M_alt 'P 6/m m m'
_space_group_IT_number 191
_space_group_name_Hall '-P 6 2'
_cell_length_a 7.3355
_cell_length_b 7.3355
_cell_length_c 9.2769
_cell_angle_alpha 90.00
_cell_angle_beta 90.00
_cell_angle_gamma 120.00
loop_
_atom_site_label
_atom_site_fract_x
_atom_site_fract_y
_atom_site_fract_z
_atom_site_occupancy
Pm1 0.0000 0.5000 0.2472 1
Pu1 0.0000 0.0000 0.5000 1
Sn1 0.0000 0.0000 0.1597 1
Sn2 0.3333 0.6667 0.0000 1
Sn3 0.3333 0.6667 0.5000 1
```

Main lines, low angle first (2θ = 15–90°):
(1 1 0), 2θ 24.3, d 3.668, I = 50
(2 0 0), 2θ 28.1, d 3.176, I = 97
(1 1 2), 2θ 31.1, d 2.877, I = 100
(1 0 3), 2θ 32.2, d 2.780, I = 23
(2 0 2), 2θ 34.2, d 2.621, I = 93
(0 0 4), 2θ 38.8, d 2.320, I = 25
(3 0 2), 2θ 47.2, d 1.926, I = 32
(2 2 0), 2θ 49.7, d 1.834, I = 56
(2 2 4), 2θ 64.8, d 1.439, I = 32
(1 1 6), 2θ 65.5, d 1.425, I = 23

4.
This entry pairs a crystal structure of Tb6Pm2Pu with its simulated powder XRD pattern. Radiation: Cu Kα. Structure: a crystal structure in Alexandria, relaxed with GGA-PBE.

Structure:
```
data_Tb6Pm2Pu
_chemical_formula_sum 'Tb24 Pm8 Pu4'
_space_group_name_H-M_alt 'C 1 2/c 1'
_space_group_IT_number 15
_space_group_name_Hall '-C 2yc'
_cell_length_a 13.8678
_cell_length_b 11.5682
_cell_length_c 7.2824
_cell_angle_alpha 90.00
_cell_angle_beta 92.33
_cell_angle_gamma 90.00
loop_
_atom_site_label
_atom_site_fract_x
_atom_site_fract_y
_atom_site_fract_z
_atom_site_occupancy
Tb1 0.0949 0.0005 0.1322 1
Tb2 0.1201 0.2535 0.3822 1
Tb3 0.1217 0.2520 0.8809 1
Pm1 0.2023 0.4989 0.1034 1
Pu1 0.0000 0.4973 0.7500 1
```

Main lines, low angle first (2θ = 15–90°):
(4 0 0), 2θ 25.7, d 3.464, I = 12
(4 2 0), 2θ 30.1, d 2.972, I = 34
(0 4 0), 2θ 30.9, d 2.892, I = 62
(2 2 -2), 2θ 31.4, d 2.851, I = 33
(3 1 -2), 2θ 31.6, d 2.828, I = 34
(2 2 2), 2θ 32.2, d 2.779, I = 100
(5 1 0), 2θ 33.2, d 2.695, I = 33
(3 3 -2), 2θ 38.7, d 2.326, I = 18
(5 3 0), 2θ 40.1, d 2.250, I = 21
(2 6 2), 2θ 55.8, d 1.647, I = 21

5.
This entry pairs a crystal structure of Tb3Pm3Pu with its simulated powder XRD pattern. Radiation: Cu Kα. Structure: a crystal structure in Alexandria, relaxed with GGA-PBE.

Structure:
```
data_Tb3Pm3Pu
_chemical_formula_sum 'Tb18 Pm18 Pu6'
_space_group_name_H-M_alt 'R -3'
_space_group_IT_number 148
_space_group_name_Hall '-R 3'
_cell_length_a 6.2039
_cell_length_b 6.2039
_cell_length_c 42.7099
_cell_angle_alpha 90.00
_cell_angle_beta 90.00
_cell_angle_gamma 120.00
loop_
_atom_site_label
_atom_site_fract_x
_atom_site_fract_y
_atom_site_fract_z
_atom_site_occupancy
Tb1 0.0001 0.3328 0.4370 1
Pm1 0.9999 0.3312 0.6310 1
Pu1 0.0000 0.0000 0.1666 1
```

Main lines, low angle first (2θ = 15–90°):
(1 1 3), 2θ 29.5, d 3.031, I = 19
(0 0 15), 2θ 31.4, d 2.845, I = 100
(2 -1 9), 2θ 34.5, d 2.596, I = 40
(2 -1 12), 2θ 38.5, d 2.338, I = 18
(3 0 0), 2θ 51.0, d 1.791, I = 23
(1 1 21), 2θ 53.9, d 1.701, I = 20
(3 0 15), 2θ 61.1, d 1.516, I = 36
(4 1 6), 2θ 83.6, d 1.157, I = 9
(3 0 30), 2θ 87.5, d 1.114, I = 8
(1 1 36), 2θ 88.2, d 1.108, I = 8

6.
This entry pairs a crystal structure of PmPu2Te4 with its simulated powder XRD pattern. Radiation: Cu Kα. Structure: a crystal structure in Alexandria, relaxed with GGA-PBE.

Structure:
```
data_PmPu2Te4
_chemical_formula_sum 'Pm2 Pu4 Te8'
_space_group_name_H-M_alt 'C 1 2/m 1'
_space_group_IT_number 12
_space_group_name_Hall '-C 2y'
_cell_length_a 16.5743
_cell_length_b 4.4650
_cell_length_c 7.7979
_cell_angle_alpha 90.00
_cell_angle_beta 116.96
_cell_angle_gamma 90.00
loop_
_atom_site_label
_atom_site_fract_x
_atom_site_fract_y
_atom_site_fract_z
_atom_site_occupancy
Pm1 0.0000 0.0000 0.0000 1
Pu1 0.2370 0.5000 0.7273 1
Te1 0.1233 0.0000 0.4456 1
Te2 0.1332 0.5000 0.9828 1
```

Main lines, low angle first (2θ = 15–90°):
(1 1 -1), 2θ 23.0, d 3.875, I = 32
(1 1 1), 2θ 25.9, d 3.445, I = 97
(4 0 -2), 2θ 26.1, d 3.420, I = 54
(2 0 2), 2θ 33.1, d 2.707, I = 29
(3 1 1), 2θ 33.4, d 2.686, I = 73
(6 0 -2), 2θ 33.7, d 2.659, I = 100
(3 1 -3), 2θ 40.1, d 2.246, I = 70
(0 2 0), 2θ 40.4, d 2.232, I = 36
(6 2 -2), 2θ 53.6, d 1.709, I = 29
(9 1 -5), 2θ 69.2, d 1.358, I = 26

7.
This entry pairs a crystal structure of Pm2PuTe with its simulated powder XRD pattern. Radiation: Cu Kα. Structure: a crystal structure in Alexandria, relaxed with GGA-PBE.

Structure:
```
data_Pm2PuTe
_chemical_formula_sum 'Pm2 Pu1 Te1'
_space_group_name_H-M_alt 'P 4/m m m'
_space_group_IT_number 123
_space_group_name_Hall '-P 4 2'
_cell_length_a 3.9178
_cell_length_b 3.9178
_cell_length_c 7.7930
_cell_angle_alpha 90.00
_cell_angle_beta 90.00
_cell_angle_gamma 90.00
loop_
_atom_site_label
_atom_site_fract_x
_atom_site_fract_y
_atom_site_fract_z
_atom_site_occupancy
Pm1 0.0000 0.0000 0.2303 1
Pu1 0.5000 0.5000 0.5000 1
Te1 0.5000 0.5000 0.0000 1
```

Main lines, low angle first (2θ = 15–90°):
(1 0 1), 2θ 25.4, d 3.500, I = 6
(1 1 0), 2θ 32.4, d 2.765, I = 100
(2 0 0), 2θ 46.4, d 1.959, I = 13
(0 0 4), 2θ 46.6, d 1.948, I = 6
(2 1 2), 2θ 57.7, d 1.598, I = 26
(1 1 4), 2θ 57.9, d 1.594, I = 12
(2 2 0), 2θ 67.6, d 1.385, I = 4
(2 0 4), 2θ 67.8, d 1.381, I = 7
(3 1 0), 2θ 77.0, d 1.239, I = 11
(1 0 6), 2θ 77.4, d 1.233, I = 4

8.
This entry pairs a crystal structure of PmPu2Te4 with its simulated powder XRD pattern. Radiation: Cu Kα. Structure: a crystal structure in Alexandria, relaxed with GGA-PBE.

Structure:
```
data_PmPu2Te4
_chemical_formula_sum 'Pm4 Pu8 Te16'
_space_group_name_H-M_alt 'C m c m'
_space_group_IT_number 63
_space_group_name_Hall '-C 2c 2'
_cell_length_a 4.3370
_cell_length_b 14.4652
_cell_length_c 15.1530
_cell_angle_alpha 90.00
_cell_angle_beta 90.00
_cell_angle_gamma 90.00
loop_
_atom_site_label
_atom_site_fract_x
_atom_site_fract_y
_atom_site_fract_z
_atom_site_occupancy
Pm1 0.0000 0.1189 0.2500 1
Pu1 0.0000 0.3652 0.0664 1
Te1 0.0000 0.0000 0.0000 1
Te2 0.0000 0.2777 0.6249 1
Te3 0.0000 0.4609 0.2500 1
```

Main lines, low angle first (2θ = 15–90°):
(0 2 3), 2θ 21.4, d 4.144, I = 98
(0 2 4), 2θ 26.6, d 3.356, I = 51
(1 3 0), 2θ 27.7, d 3.225, I = 39
(1 3 1), 2θ 28.3, d 3.154, I = 77
(1 3 2), 2θ 30.1, d 2.967, I = 100
(1 1 5), 2θ 36.7, d 2.448, I = 68
(1 5 2), 2θ 39.3, d 2.294, I = 34
(0 6 3), 2θ 41.5, d 2.174, I = 84
(2 0 0), 2θ 41.6, d 2.168, I = 40
(2 6 3), 2θ 60.3, d 1.536, I = 31

9.
This entry pairs a crystal structure of Pm3Pu4Te8 with its simulated powder XRD pattern. Radiation: Cu Kα. Structure: a crystal structure in Alexandria, relaxed with GGA-PBE.

Structure:
```
data_Pm3Pu4Te8
_chemical_formula_sum 'Pm3 Pu4 Te8'
_space_group_name_H-M_alt 'P -1'
_space_group_IT_number 2
_space_group_name_Hall '-P 1'
_cell_length_a 8.8695
_cell_length_b 8.8714
_cell_length_c 8.8809
_cell_angle_alpha 60.08
_cell_angle_beta 60.27
_cell_angle_gamma 60.05
loop_
_atom_site_label
_atom_site_fract_x
_atom_site_fract_y
_atom_site_fract_z
_atom_site_occupancy
Pm1 0.0000 0.0000 0.0000 1
Pm2 0.0000 0.5000 0.0000 1
Pm3 0.5000 0.0000 0.5000 1
Pu1 0.0000 0.0000 0.5000 1
Pu2 0.0000 0.5000 0.5000 1
Pu3 0.5000 0.0000 0.0000 1
Pu4 0.5000 0.5000 0.5000 1
Te1 0.2510 0.2511 0.7489 1
Te2 0.2523 0.7458 0.2493 1
Te3 0.2533 0.2537 0.2468 1
Te4 0.2549 0.7452 0.7531 1
```

Main lines, low angle first (2θ = 15–90°):
(2 0 1), 2θ 23.5, d 3.788, I = 7
(2 2 0), 2θ 28.4, d 3.141, I = 100
(2 0 -2), 2θ 40.5, d 2.228, I = 13
(4 2 2), 2θ 40.7, d 2.219, I = 64
(4 0 0), 2θ 50.2, d 1.816, I = 14
(4 4 4), 2θ 50.4, d 1.810, I = 14
(4 4 0), 2θ 58.7, d 1.572, I = 9
(2 4 6), 2θ 66.5, d 1.405, I = 9
(6 4 2), 2θ 66.6, d 1.403, I = 18
(4 6 6), 2θ 74.0, d 1.281, I = 11

10.
This entry pairs a crystal structure of Pm14PuTh with its simulated powder XRD pattern. Radiation: Cu Kα. Structure: a crystal structure in Alexandria, relaxed with GGA-PBE.

Structure:
```
data_Pm14PuTh
_chemical_formula_sum 'Pm14 Pu1 Th1'
_space_group_name_H-M_alt 'P 4/m m m'
_space_group_IT_number 123
_space_group_name_Hall '-P 4 2'
_cell_length_a 7.2532
_cell_length_b 7.2532
_cell_length_c 10.2904
_cell_angle_alpha 90.00
_cell_angle_beta 90.00
_cell_angle_gamma 90.00
loop_
_atom_site_label
_atom_site_fract_x
_atom_site_fract_y
_atom_site_fract_z
_atom_site_occupancy
Pm1 0.0000 0.0000 0.0000 1
Pm2 0.0000 0.5000 0.0000 1
Pm3 0.0000 0.5000 0.5000 1
Pm4 0.2503 0.2503 0.2547 1
Pm5 0.5000 0.5000 0.0000 1
Pu1 0.0000 0.0000 0.5000 1
Th1 0.5000 0.5000 0.5000 1
```

Main lines, low angle first (2θ = 15–90°):
(2 0 2), 2θ 30.1, d 2.964, I = 100
(0 0 4), 2θ 34.9, d 2.573, I = 17
(2 2 0), 2θ 35.0, d 2.564, I = 34
(4 0 0), 2θ 50.3, d 1.815, I = 36
(2 0 6), 2θ 59.6, d 1.550, I = 14
(4 2 2), 2θ 59.8, d 1.547, I = 29
(4 0 4), 2θ 62.7, d 1.482, I = 12
(4 2 6), 2θ 81.7, d 1.178, I = 12
(6 0 2), 2θ 81.9, d 1.177, I = 6
(6 2 0), 2θ 84.4, d 1.147, I = 11

11.
This entry pairs a crystal structure of PmPuTi with its simulated powder XRD pattern. Radiation: Cu Kα. Structure: a crystal structure in Alexandria, relaxed with GGA-PBE.

Structure:
```
data_PmPuTi
_chemical_formula_sum 'Pm4 Pu4 Ti4'
_space_group_name_H-M_alt 'I 4/m m m'
_space_group_IT_number 139
_space_group_name_Hall '-I 4 2'
_cell_length_a 3.3950
_cell_length_b 3.3950
_cell_length_c 26.8911
_cell_angle_alpha 90.00
_cell_angle_beta 90.00
_cell_angle_gamma 90.00
loop_
_atom_site_label
_atom_site_fract_x
_atom_site_fract_y
_atom_site_fract_z
_atom_site_occupancy
Pm1 0.0000 0.0000 0.0659 1
Pu1 0.0000 0.0000 0.3435 1
Ti1 0.0000 0.0000 0.2231 1
```

Main lines, low angle first (2θ = 15–90°):
(1 0 3), 2θ 28.1, d 3.175, I = 80
(0 0 10), 2θ 33.3, d 2.689, I = 17
(1 0 7), 2θ 35.3, d 2.544, I = 100
(1 1 0), 2θ 37.5, d 2.401, I = 54
(1 1 10), 2θ 51.0, d 1.791, I = 21
(2 0 0), 2θ 54.0, d 1.698, I = 19
(1 0 15), 2θ 58.2, d 1.585, I = 12
(2 1 3), 2θ 62.0, d 1.497, I = 18
(2 0 10), 2θ 65.0, d 1.435, I = 17
(2 1 7), 2θ 66.2, d 1.412, I = 32

12.
This entry pairs a crystal structure of Pm2PuTl9 with its simulated powder XRD pattern. Radiation: Cu Kα. Structure: a crystal structure in Alexandria, relaxed with GGA-PBE.

Structure:
```
data_Pm2PuTl9
_chemical_formula_sum 'Pm2 Pu1 Tl9'
_space_group_name_H-M_alt 'P 4/m m m'
_space_group_IT_number 123
_space_group_name_Hall '-P 4 2'
_cell_length_a 4.7997
_cell_length_b 4.7997
_cell_length_c 14.4491
_cell_angle_alpha 90.00
_cell_angle_beta 90.00
_cell_angle_gamma 90.00
loop_
_atom_site_label
_atom_site_fract_x
_atom_site_fract_y
_atom_site_fract_z
_atom_site_occupancy
Pm1 0.0000 0.0000 0.1652 1
Pu1 0.0000 0.0000 0.5000 1
Tl1 0.0000 0.5000 0.0000 1
Tl2 0.0000 0.5000 0.3345 1
Tl3 0.5000 0.5000 0.1682 1
Tl4 0.5000 0.5000 0.5000 1
```

Main lines, low angle first (2θ = 15–90°):
(1 1 3), 2θ 32.3, d 2.774, I = 100
(0 0 6), 2θ 37.3, d 2.408, I = 17
(2 0 0), 2θ 37.5, d 2.400, I = 34
(2 0 6), 2θ 53.9, d 1.700, I = 24
(2 2 0), 2θ 54.0, d 1.697, I = 12
(1 1 9), 2θ 64.2, d 1.451, I = 14
(3 1 3), 2θ 64.4, d 1.448, I = 28
(2 2 6), 2θ 67.5, d 1.387, I = 12
(3 1 9), 2θ 88.7, d 1.103, I = 12
(3 3 3), 2θ 88.9, d 1.101, I = 6

13.
This entry pairs a crystal structure of Pm2Tm4Pu with its simulated powder XRD pattern. Radiation: Cu Kα. Structure: a crystal structure in Alexandria, relaxed with GGA-PBE.

Structure:
```
data_Pm2Tm4Pu
_chemical_formula_sum 'Pm4 Tm8 Pu2'
_space_group_name_H-M_alt 'C 1 m 1'
_space_group_IT_number 8
_space_group_name_Hall 'C -2y'
_cell_length_a 6.1645
_cell_length_b 3.5585
_cell_length_c 19.9205
_cell_angle_alpha 90.00
_cell_angle_beta 95.92
_cell_angle_gamma 90.00
loop_
_atom_site_label
_atom_site_fract_x
_atom_site_fract_y
_atom_site_fract_z
_atom_site_occupancy
Pm1 0.0000 0.0000 0.0000 1
Pm2 0.0966 0.0000 0.2916 1
Tm1 0.1924 0.0000 0.5775 1
Tm2 0.2147 0.5000 0.1450 1
Tm3 0.2849 0.0000 0.8543 1
Tm4 0.3123 0.5000 0.4380 1
Pu1 0.4057 0.5000 0.7158 1
```

Main lines, low angle first (2θ = 15–90°):
(1 1 0), 2θ 29.0, d 3.078, I = 37
(0 0 7), 2θ 31.6, d 2.831, I = 53
(1 1 3), 2θ 32.7, d 2.736, I = 100
(2 0 3), 2θ 33.5, d 2.677, I = 100
(0 2 0), 2θ 51.3, d 1.779, I = 43
(1 1 10), 2θ 56.5, d 1.628, I = 19
(2 0 10), 2θ 58.0, d 1.591, I = 21
(3 1 6), 2θ 61.6, d 1.506, I = 48
(2 2 3), 2θ 62.7, d 1.482, I = 17
(3 1 13), 2θ 88.2, d 1.108, I = 17